# 1
Structure and computed PXRD pattern of BaCa2Pb2 (a structure optimized by DFT (PBE); Cu Kα (λ = 1.5418 Å)).
No peak broadening, texture or thermal motion is included.

```
data_BaCa2Pb2
_cell_length_a 5.5333
_cell_length_b 5.1661
_cell_length_c 13.2433
_cell_angle_alpha 90.00
_cell_angle_beta 93.99
_cell_angle_gamma 90.00
_space_group_name_H-M_alt 'P 1 21/m 1'
_space_group_IT_number 11
_space_group_name_Hall '-P 2yb'
loop_
_atom_site_label
_atom_site_fract_x
_atom_site_fract_y
_atom_site_fract_z
Ba1 0.2065 0.2500 0.2519
Ca1 0.2493 0.7500 0.4958
Ca2 0.3076 0.2500 0.8693
Pb1 0.1805 0.7500 0.0088
Pb2 0.2736 0.2500 0.6380
```

The 10 most intense peaks (2θ = 5–70°), low angle first:
2θ 20.19, d 4.398, intensity 61, (0 0 3)
2θ 24.23, d 3.673, intensity 54, (1 1 -1)
2θ 26.63, d 3.347, intensity 100, (1 1 -2)
2θ 27.79, d 3.210, intensity 69, (1 1 2)
2θ 32.44, d 2.760, intensity 36, (2 0 0)
2θ 34.73, d 2.583, intensity 44, (0 2 0)
2θ 36.67, d 2.451, intensity 23, (1 0 -5)
2θ 37.00, d 2.430, intensity 28, (1 1 4)
2θ 41.26, d 2.188, intensity 29, (2 1 -3)
2θ 48.26, d 1.886, intensity 23, (2 2 0)

=====

# 2
Structure and computed PXRD pattern of PrDy7Ho2 (a structure optimized by DFT (PBE); Cu Kα (λ = 1.5418 Å)).
No peak broadening, texture or thermal motion is included.

```
data_PrDy7Ho2
_cell_length_a 6.1492
_cell_length_b 7.1169
_cell_length_c 7.9418
_cell_angle_alpha 77.11
_cell_angle_beta 75.02
_cell_angle_gamma 73.35
_space_group_name_H-M_alt 'P -1'
_space_group_IT_number 2
_space_group_name_Hall '-P 1'
loop_
_atom_site_label
_atom_site_fract_x
_atom_site_fract_y
_atom_site_fract_z
Pr1 0.0000 0.0000 0.0000
Dy1 0.0000 0.5000 0.0000
Dy2 0.2006 0.7992 0.5990
Dy3 0.4000 0.1002 0.2015
Dy4 0.4013 0.5985 0.2015
Ho1 0.1997 0.3012 0.5991
```

The 10 most intense peaks (2θ = 5–70°), low angle first:
2θ 30.81, d 2.902, intensity 100, (2 0 1)
2θ 35.73, d 2.513, intensity 51, (2 2 0)
2θ 51.39, d 1.778, intensity 24, (1 4 1)
2θ 51.47, d 1.775, intensity 12, (3 2 3)
2θ 61.06, d 1.517, intensity 11, (0 4 3)
2θ 61.17, d 1.515, intensity 25, (3 4 2)
2θ 61.24, d 1.514, intensity 7, (4 2 1)
2θ 64.08, d 1.453, intensity 3, (0 4 -2)
2θ 64.20, d 1.451, intensity 6, (4 0 2)
2θ 64.26, d 1.449, intensity 3, (2 0 -4)

=====

# 3
Structure and computed PXRD pattern of SiPb3 (a structure optimized by DFT (PBE); Cu Kα (λ = 1.5418 Å)).
No peak broadening, texture or thermal motion is included.

```
data_SiPb3
_cell_length_a 10.7054
_cell_length_b 10.7054
_cell_length_c 3.3933
_cell_angle_alpha 90.00
_cell_angle_beta 90.00
_cell_angle_gamma 120.00
_space_group_name_H-M_alt 'R -3 m'
_space_group_IT_number 166
_space_group_name_Hall '-R 3 2"'
loop_
_atom_site_label
_atom_site_fract_x
_atom_site_fract_y
_atom_site_fract_z
Si1 0.0000 0.0000 0.0000
Pb1 0.0000 0.5000 0.0000
```

The 10 most intense peaks (2θ = 5–70°), low angle first:
2θ 16.56, d 5.353, intensity 36, (1 1 0)
2θ 28.00, d 3.187, intensity 11, (1 0 1)
2θ 32.71, d 2.738, intensity 100, (0 2 1)
2θ 33.48, d 2.676, intensity 94, (2 2 0)
2θ 36.87, d 2.438, intensity 11, (2 1 1)
2θ 47.51, d 1.914, intensity 36, (4 0 1)
2θ 57.88, d 1.593, intensity 20, (2 0 2)
2θ 59.37, d 1.557, intensity 38, (2 4 1)
2θ 59.86, d 1.545, intensity 18, (6 0 0)
2θ 68.54, d 1.369, intensity 12, (0 4 2)